1.
For Cs2AgAuN4, a structure optimized by DFT (GGA-PBE) gives the calculated powder diffractogram in this record (Cu Kα).

Crystal structure
a = 6.3262 Å, b = 6.7631 Å, c = 6.7631 Å
α = 43.44°, β = 90.00°, γ = 90.00°
Element x y z (fractional)
Cs1 0.0000 0.0000 0.0000
Cs2 0.5000 0.3900 0.3900
Ag1 0.5000 0.6890 0.6890
Au1 0.0000 0.7029 0.7029
N1 0.2366 0.5939 0.5939
N2 0.2534 0.7957 0.7957
N3 0.7466 0.7957 0.7957
N4 0.7634 0.5939 0.5939

Largest 10 diffraction maxima, by angle, 2θ = 10–90°:
2θ 19.09, d = 4.650 Å, I 69
2θ 19.92, d = 4.458 Å, I 23
2θ 23.75, d = 3.747 Å, I 82
2θ 27.77, d = 3.212 Å, I 100
2θ 28.21, d = 3.163 Å, I 48
2θ 31.80, d = 2.814 Å, I 27
2θ 35.88, d = 2.503 Å, I 38
2θ 40.00, d = 2.254 Å, I 86
2θ 40.47, d = 2.229 Å, I 22
2θ 46.26, d = 1.963 Å, I 26

---

2.
For Cs2AgAuS4, a structure optimized by DFT (GGA-PBE) gives the calculated powder diffractogram in this record (Cu Kα).

Crystal structure
a = 7.1538 Å, b = 7.7930 Å, c = 7.7930 Å
α = 45.35°, β = 90.00°, γ = 90.00°
Element x y z (fractional)
Cs1 0.0000 0.0000 0.0000
Cs2 0.5000 0.3611 0.3611
Ag1 0.5000 0.6768 0.6768
Au1 0.0000 0.6819 0.6819
S1 0.2441 0.5698 0.5698
S2 0.2531 0.7888 0.7888
S3 0.7469 0.7888 0.7888
S4 0.7559 0.5698 0.5698

Largest 10 diffraction maxima, by angle, 2θ = 10–90°:
2θ 12.32, d = 7.184 Å, I 26
2θ 15.99, d = 5.544 Å, I 83
2θ 17.49, d = 5.071 Å, I 31
2θ 20.26, d = 4.382 Å, I 63
2θ 23.74, d = 3.747 Å, I 83
2θ 24.89, d = 3.577 Å, I 28
2θ 29.74, d = 3.004 Å, I 52
2θ 34.67, d = 2.587 Å, I 100
2θ 45.57, d = 1.990 Å, I 27
2θ 55.37, d = 1.659 Å, I 30

---

3.
For CuAg2Au, a structure optimized by DFT (GGA-PBE) gives the calculated powder diffractogram in this record (Cu Kα).

Crystal structure
a = 4.5465 Å, b = 4.5465 Å, c = 4.5465 Å
α = 60.00°, β = 60.00°, γ = 60.00°
Element x y z (fractional)
Cu1 0.0000 0.0000 0.0000
Ag1 0.2500 0.2500 0.2500
Ag2 0.5000 0.5000 0.5000
Au1 0.7500 0.7500 0.7500

Largest 10 diffraction maxima, by angle, 2θ = 10–90°:
2θ 23.97, d = 3.712 Å, I 9
2θ 27.75, d = 3.215 Å, I 9
2θ 39.65, d = 2.273 Å, I 100
2θ 46.86, d = 1.939 Å, I 5
2θ 49.08, d = 1.856 Å, I 3
2θ 57.32, d = 1.607 Å, I 16
2θ 63.02, d = 1.475 Å, I 2
2θ 64.85, d = 1.438 Å, I 4
2θ 71.94, d = 1.312 Å, I 33
2θ 85.41, d = 1.137 Å, I 11

---

4.
For Tb3In3CuAgAu, a structure optimized by DFT (GGA-PBE) gives the calculated powder diffractogram in this record (Cu Kα).

Crystal structure
a = 7.8112 Å, b = 7.8112 Å, c = 3.8747 Å
α = 90.00°, β = 90.00°, γ = 120.00°
Element x y z (fractional)
Tb1 0.0061 0.6001 0.0000
Tb2 0.3999 0.4060 0.0000
Tb3 0.5940 0.9939 0.0000
In1 0.2524 0.0047 0.5000
In2 0.7523 0.7476 0.5000
In3 0.9953 0.2477 0.5000
Cu1 0.0000 0.0000 0.0000
Ag1 0.6667 0.3333 0.5000
Au1 0.3333 0.6667 0.5000

Largest 10 diffraction maxima, by angle, 2θ = 10–90°:
2θ 32.55, d = 2.751 Å, I 100
2θ 35.10, d = 2.557 Å, I 50
2θ 35.22, d = 2.548 Å, I 72
2θ 39.98, d = 2.255 Å, I 36
2θ 42.35, d = 2.134 Å, I 23
2θ 46.90, d = 1.937 Å, I 21
2θ 54.32, d = 1.689 Å, I 16
2θ 59.90, d = 1.544 Å, I 21
2θ 63.29, d = 1.469 Å, I 18
2θ 64.70, d = 1.441 Å, I 27

---

5.
For Mg2Sc2CuAgAu2, a structure optimized by DFT (GGA-PBE) gives the calculated powder diffractogram in this record (Cu Kα).

Crystal structure
a = 4.6897 Å, b = 4.6897 Å, c = 6.6387 Å
α = 90.00°, β = 90.00°, γ = 90.00°
Element x y z (fractional)
Mg1 0.0000 0.5000 0.2449
Mg2 0.5000 0.0000 0.7551
Sc1 0.0000 0.5000 0.7592
Sc2 0.5000 0.0000 0.2408
Cu1 0.5000 0.5000 0.0000
Ag1 0.0000 0.0000 0.5000
Au1 0.0000 0.0000 0.0000
Au2 0.5000 0.5000 0.5000

Largest 10 diffraction maxima, by angle, 2θ = 10–90°:
2θ 23.22, d = 3.830 Å, I 21
2θ 26.88, d = 3.317 Å, I 46
2θ 38.38, d = 2.346 Å, I 100
2θ 45.34, d = 2.000 Å, I 12
2θ 47.47, d = 1.915 Å, I 14
2θ 55.39, d = 1.659 Å, I 17
2θ 62.62, d = 1.483 Å, I 18
2θ 69.40, d = 1.354 Å, I 34
2θ 82.19, d = 1.173 Å, I 11
2θ 88.40, d = 1.106 Å, I 8

---

6.
For Y3Mg3CuAgAu, a structure optimized by DFT (GGA-PBE) gives the calculated powder diffractogram in this record (Cu Kα).

Crystal structure
a = 7.5727 Å, b = 7.5727 Å, c = 4.0983 Å
α = 90.00°, β = 90.00°, γ = 120.00°
Element x y z (fractional)
Y1 0.0061 0.5952 0.0000
Y2 0.4048 0.4109 0.0000
Y3 0.5891 0.9939 0.0000
Mg1 0.0017 0.2402 0.5000
Mg2 0.2385 0.9983 0.5000
Mg3 0.7598 0.7615 0.5000
Cu1 0.0000 0.0000 0.0000
Ag1 0.6667 0.3333 0.5000
Au1 0.3333 0.6667 0.5000

Largest 10 diffraction maxima, by angle, 2θ = 10–90°:
2θ 13.50, d = 6.558 Å, I 45
2θ 23.50, d = 3.786 Å, I 51
2θ 25.63, d = 3.475 Å, I 24
2θ 32.19, d = 2.781 Å, I 100
2θ 35.05, d = 2.560 Å, I 85
2θ 36.24, d = 2.479 Å, I 24
2θ 41.30, d = 2.186 Å, I 41
2θ 42.63, d = 2.121 Å, I 36
2θ 62.08, d = 1.495 Å, I 24
2θ 66.16, d = 1.412 Å, I 23

---

7.
For DyAgAu, a structure optimized by DFT (GGA-PBE) gives the calculated powder diffractogram in this record (Cu Kα).

Crystal structure
a = 3.7358 Å, b = 3.7358 Å, c = 9.1252 Å
α = 90.00°, β = 90.00°, γ = 90.00°
Element x y z (fractional)
Dy1 0.0000 0.0000 0.0000
Dy2 0.5000 0.5000 0.5000
Ag1 0.0000 0.0000 0.3320
Ag2 0.0000 0.0000 0.6680
Au1 0.5000 0.5000 0.1668
Au2 0.5000 0.5000 0.8332

Largest 10 diffraction maxima, by angle, 2θ = 10–90°:
2θ 33.94, d = 2.642 Å, I 69
2θ 38.15, d = 2.359 Å, I 100
2θ 48.75, d = 1.868 Å, I 25
2θ 60.91, d = 1.521 Å, I 6
2θ 63.53, d = 1.464 Å, I 45
2θ 71.42, d = 1.321 Å, I 8
2θ 71.59, d = 1.318 Å, I 16
2θ 81.47, d = 1.181 Å, I 11
2θ 81.64, d = 1.179 Å, I 11
2θ 83.97, d = 1.152 Å, I 10

---

8.
For DyAgAu, a structure optimized by DFT (GGA-PBE) gives the calculated powder diffractogram in this record (Cu Kα).

Crystal structure
a = 3.7421 Å, b = 3.7421 Å, c = 9.1504 Å
α = 90.00°, β = 90.00°, γ = 90.00°
Element x y z (fractional)
Dy1 0.2500 0.2500 0.2406
Dy2 0.7500 0.7500 0.7594
Ag1 0.2500 0.2500 0.5754
Ag2 0.7500 0.7500 0.4246
Au1 0.2500 0.2500 0.9078
Au2 0.7500 0.7500 0.0922

Largest 10 diffraction maxima, by angle, 2θ = 10–90°:
2θ 33.88, d = 2.646 Å, I 71
2θ 38.06, d = 2.364 Å, I 100
2θ 48.66, d = 1.871 Å, I 25
2θ 60.73, d = 1.525 Å, I 6
2θ 63.40, d = 1.467 Å, I 45
2θ 71.28, d = 1.323 Å, I 8
2θ 71.39, d = 1.321 Å, I 14
2θ 81.30, d = 1.183 Å, I 11
2θ 81.41, d = 1.182 Å, I 10
2θ 83.78, d = 1.155 Å, I 10